Simulated powder diffractogram
Compound: Sr2MnGaO5
Radiation: Cu Kα (weighted mean of Kα1 and Kα2)
Structure: DFT lattice parameters and positions (PBE+U)

Principal peaks in the range 10° ≤ 2θ ≤ 80°, most intense first:
2θ/deg  I (rel.)  h k l
31.77  100.0  4 1 1
32.63  32.6  0 0 2
45.96  28.9  0 2 2
31.45  28.7  0 2 0
57.69  19.4  4 1 3
45.12  15.7  8 0 0

Cell: 16.075 5.688 5.488 Å, 90.00 90.00 90.00°
Space group Ima2 (No. 46)
Unique sites:
Sr 0.112 0.018 0.000 (multiplicity 8)
Mn 0.000 0.000 0.505 (multiplicity 4)
Ga 0.250 0.570 0.966 (multiplicity 4)
O 0.007 0.747 0.753 (multiplicity 8)
O 0.145 0.053 0.526 (multiplicity 8)
O 0.250 0.632 0.624 (multiplicity 4)